# PmEr4Sc3
Calculated XRD peak list, Cu Kα. Input: a GGA-PBE-relaxed structure.

The 12 most intense peaks (10 to 90 degrees two-theta), by angle:
2θ/deg	intensity
15.93	46.0
27.51	20.4
31.29	20.9
31.95	75.9
32.18	54.2
32.83	100.0
34.23	21.7
34.34	20.7
37.96	17.8
38.07	16.9
47.73	32.4
57.78	19.4

Atomic structure:
abc: 12.951 11.127 3.356
angles: 90.00 104.83 90.00
Sites, in units of the cell vectors:
1 Pm 0.000 0.000 0.000
2 Pm 0.500 0.500 0.000
3 Er 0.135 0.260 0.638
4 Er 0.135 0.740 0.638
5 Er 0.365 0.240 0.362
6 Er 0.365 0.760 0.362
7 Er 0.635 0.240 0.638
8 Er 0.635 0.760 0.638
9 Er 0.865 0.260 0.362
10 Er 0.865 0.740 0.362
11 Sc 0.000 0.500 0.500
12 Sc 0.237 0.500 0.238
13 Sc 0.263 0.000 0.762
14 Sc 0.500 0.000 0.500
15 Sc 0.737 0.000 0.238
16 Sc 0.763 0.500 0.762

=====

# Pm6Er4Sc
Calculated XRD peak list, Cu Kα. Input: a GGA-PBE-relaxed structure.

The 12 most intense peaks (10 to 90 degrees two-theta), by angle:
2θ/deg	intensity
30.33	58.2
30.62	53.7
31.11	71.0
31.97	100.0
32.17	28.5
33.26	69.2
44.22	39.2
47.22	15.2
55.91	20.3
56.33	20.2
56.74	15.2
57.63	24.4

Atomic structure:
abc: 5.601 5.601 25.721
angles: 90.00 90.00 118.24
Sites, in units of the cell vectors:
1 Pm 0.000 0.000 0.000
2 Pm 0.000 0.000 0.500
3 Pm 0.036 0.964 0.750
4 Pm 0.306 0.694 0.104
5 Pm 0.306 0.694 0.396
6 Pm 0.367 0.633 0.683
7 Pm 0.367 0.633 0.817
8 Pm 0.633 0.367 0.183
9 Pm 0.633 0.367 0.317
10 Pm 0.694 0.306 0.604
11 Pm 0.694 0.306 0.896
12 Pm 0.964 0.036 0.250
13 Er 0.034 0.966 0.623
14 Er 0.034 0.966 0.877
15 Er 0.346 0.654 0.545
16 Er 0.346 0.654 0.955
17 Er 0.654 0.346 0.045
18 Er 0.654 0.346 0.455
19 Er 0.966 0.034 0.123
20 Er 0.966 0.034 0.377
21 Sc 0.301 0.699 0.250
22 Sc 0.699 0.301 0.750

=====

# Pm4Er5Sc
Calculated XRD peak list, Cu Kα. Input: a GGA-PBE-relaxed structure.

The 12 most intense peaks (10 to 90 degrees two-theta), by angle:
2θ/deg	intensity
29.53	100.0
30.97	16.0
34.09	9.0
35.36	12.5
35.76	36.8
45.37	8.2
48.02	16.5
51.47	11.2
54.19	17.9
59.91	10.2
60.46	18.9
76.04	7.7

Atomic structure:
abc: 8.067 8.067 8.067
angles: 97.36 97.36 138.05
Sites, in units of the cell vectors:
1 Pm 0.000 0.322 0.322
2 Pm 0.000 0.678 0.678
3 Pm 0.322 0.000 0.322
4 Pm 0.678 0.000 0.678
5 Er 0.230 0.230 0.000
6 Er 0.325 0.325 0.627
7 Er 0.325 0.698 0.000
8 Er 0.698 0.325 0.000
9 Er 0.698 0.698 0.373
10 Sc 0.755 0.755 0.000

=====

# Pm3ErSc3
Calculated XRD peak list, Cu Kα. Input: a GGA-PBE-relaxed structure.

The 12 most intense peaks (10 to 90 degrees two-theta), by angle:
2θ/deg	intensity
14.80	23.2
24.71	100.0
29.86	71.9
32.11	33.9
32.51	28.7
32.91	93.1
33.23	83.2
33.74	36.4
45.87	23.1
54.81	43.0
59.83	17.5
68.49	16.0

Atomic structure:
abc: 8.546 8.546 8.546
angles: 58.75 58.75 58.75
Sites, in units of the cell vectors:
1 Pm 0.065 0.572 0.215
2 Pm 0.215 0.065 0.572
3 Pm 0.428 0.785 0.935
4 Pm 0.572 0.215 0.065
5 Pm 0.785 0.935 0.428
6 Pm 0.935 0.428 0.785
7 Er 0.155 0.155 0.155
8 Er 0.845 0.845 0.845
9 Sc 0.223 0.670 0.439
10 Sc 0.330 0.561 0.777
11 Sc 0.439 0.223 0.670
12 Sc 0.561 0.777 0.330
13 Sc 0.670 0.439 0.223
14 Sc 0.777 0.330 0.561